No. 1
The following is a computed powder diffraction line list of Cu8Pt3Au2. It was derived from a PBE-relaxed structure, using Cu Kα (λ = 1.5418 Å).

Atomic structure:
a = 11.112 Å, b = 7.134 Å, c = 5.065 Å
α = 90.00°, β = 98.73°, γ = 90.00°
Space group C2/m (No. 12)
Unique sites:
Cu  0.082  0.000  0.371 x4
Cu  0.111  0.175  0.939 x8
Cu  0.217  0.500  0.279 x4
Pt  0.000  0.315  0.500 x4
Pt  0.000  0.500  0.000 x2
Au  0.209  0.500  0.772 x4

Peak list (10 most intense, 2θ from 5° to 70°, in order of rising 2θ)
d/Å  two_theta  I_rel
5.983  14.8  63
4.011  22.2  47
3.692  24.1  30
2.991  29.9  48
2.158  41.9  79
2.128  42.5  83
2.099  43.1  83
2.089  43.3  70
2.083  43.5  100
2.049  44.2  33

No. 2
The following is a computed powder diffraction line list of CuPtAu. It was derived from a PBE-relaxed structure, using Cu Kα (λ = 1.5418 Å).

Atomic structure:
a = 3.810 Å, b = 4.037 Å, c = 6.291 Å
α = 90.00°, β = 107.44°, γ = 90.00°
Space group P2_1/m (No. 11)
Unique sites:
Cu  0.090  0.250  0.179 x2
Pt  0.253  0.750  0.506 x2
Au  0.420  0.250  0.841 x2

Peak list (10 most intense, 2θ from 5° to 70°, in order of rising 2θ)
d/Å  two_theta  I_rel
3.631  24.5  11
3.350  26.6  6
2.408  37.3  6
2.278  39.6  100
2.019  44.9  18
2.001  45.3  17
1.905  47.7  15
1.421  65.7  11
1.385  67.6  10
1.382  67.8  5

No. 3
The following is a computed powder diffraction line list of Cu5Pt4Au2. It was derived from a PBE-relaxed structure, using Cu Kα (λ = 1.5418 Å).

Atomic structure:
a = 9.150 Å, b = 5.461 Å, c = 8.060 Å
α = 90.00°, β = 123.09°, γ = 90.00°
Space group C2/m (No. 12)
Unique sites:
Cu  0.000  0.000  0.000 x2
Cu  0.220  0.262  0.704 x8
Pt  0.056  0.000  0.360 x4
Pt  0.229  0.500  0.001 x4
Au  0.073  0.500  0.357 x4

Peak list (10 most intense, 2θ from 5° to 70°, in order of rising 2θ)
d/Å  two_theta  I_rel
3.742  23.8  62
2.750  32.6  50
2.731  32.8  55
2.251  40.1  65
2.206  40.9  100
2.183  41.4  42
1.938  46.9  70
1.915  47.5  22
1.737  52.7  29
1.705  53.8  24

No. 4
The following is a computed powder diffraction line list of Cu5Pt2Au5. It was derived from a PBE-relaxed structure, using Cu Kα (λ = 1.5418 Å).

Atomic structure:
a = 12.161 Å, b = 3.767 Å, c = 8.909 Å
α = 90.00°, β = 116.07°, γ = 90.00°
Space group C2/m (No. 12)
Unique sites:
Cu  0.000  0.000  0.000 x2
Cu  0.087  0.000  0.759 x4
Cu  0.170  0.000  0.499 x4
Pt  0.163  0.500  0.997 x4
Au  0.000  0.500  0.500 x2
Au  0.080  0.500  0.251 x4
Au  0.243  0.500  0.741 x4

Peak list (10 most intense, 2θ from 5° to 70°, in order of rising 2θ)
d/Å  two_theta  I_rel
3.561  25.0  28
2.284  39.5  100
2.259  39.9  98
2.026  44.7  35
2.001  45.3  34
1.884  48.3  28
1.436  64.9  11
1.412  66.2  11
1.380  67.9  21
1.371  68.4  20

No. 5
The following is a computed powder diffraction line list of Cu2Pt2Au5. It was derived from a PBE-relaxed structure, using Cu Kα (λ = 1.5418 Å).

Atomic structure:
a = 14.798 Å, b = 6.435 Å, c = 6.477 Å
α = 90.00°, β = 90.00°, γ = 90.00°
Space group Cmce (No. 64)
Unique sites:
Cu  0.000  0.127  0.128 x8
Pt  0.224  0.000  0.500 x8
Au  0.000  0.000  0.500 x4
Au  0.127  0.176  0.823 x16

Peak list (10 most intense, 2θ from 5° to 70°, in order of rising 2θ)
d/Å  two_theta  I_rel
2.881  31.0  36
2.495  36.0  59
2.483  36.2  57
2.437  36.9  100
2.428  37.0  98
2.282  39.5  66
2.273  39.6  76
2.027  44.7  40
2.017  44.9  39
1.850  49.3  35

No. 6
The following is a computed powder diffraction line list of Cu2Pt3Au6. It was derived from a PBE-relaxed structure, using Cu Kα (λ = 1.5418 Å).

Atomic structure:
a = 8.512 Å, b = 4.921 Å, c = 18.126 Å
α = 90.00°, β = 90.00°, γ = 90.00°
Space group Cmcm (No. 63)
Unique sites:
Cu  0.168  0.000  0.000 x8
Pt  0.000  0.165  0.250 x4
Pt  0.166  0.336  0.750 x8
Au  0.000  0.171  0.615 x8
Au  0.165  0.333  0.115 x16

Peak list (10 most intense, 2θ from 5° to 70°, in order of rising 2θ)
d/Å  two_theta  I_rel
9.063  9.8  20
3.021  29.6  15
2.459  36.5  19
2.278  39.6  100
2.266  39.8  28
2.035  44.5  37
1.907  47.7  13
1.666  55.1  10
1.420  65.8  15
1.369  68.6  26

No. 7
The following is a computed powder diffraction line list of Cu6PtAu12. It was derived from a PBE-relaxed structure, using Cu Kα (λ = 1.5418 Å).

Atomic structure:
a = 11.9742 Å, b = 11.9742 Å, c = 7.8131 Å
α = 90.00°, β = 90.00°, γ = 120.00°
Space group R-3 (No. 148, hexagonal axes)
Unique sites:
Cu  0.0289  0.8815  0.2419 x18
Pt  0.0000  0.0000  0.5000 x3
Au  0.0146  0.2426  0.4472 x18
Au  0.0664  0.8193  0.9356 x18

Peak list (10 most intense, 2θ from 5° to 70°, in order of rising 2θ)
d/Å  two_theta  I_rel
3.656  24.3  27
2.767  32.4  64
2.699  33.2  49
2.461  36.5  53
2.388  37.7  86
2.316  38.9  44
2.276  39.6  100
2.263  39.8  81
2.160  41.8  54
1.965  46.2  33

No. 8
The following is a computed powder diffraction line list of Cu5PtAu6. It was derived from a PBE-relaxed structure, using Cu Kα (λ = 1.5418 Å).

Atomic structure:
a = 4.083 Å, b = 7.473 Å, c = 12.123 Å
α = 90.00°, β = 90.00°, γ = 90.00°
Space group Immm (No. 71)
Unique sites:
Cu  0.000  0.000  0.000 x2
Cu  0.000  0.000  0.340 x4
Cu  0.000  0.500  0.327 x4
Pt  0.000  0.500  0.000 x2
Au  0.000  0.240  0.169 x8
Au  0.000  0.266  0.500 x4

Peak list (10 most intense, 2θ from 5° to 70°, in order of rising 2θ)
d/Å  two_theta  I_rel
3.737  23.8  12
2.872  31.1  14
2.277  39.6  100
2.041  44.4  18
2.020  44.9  18
1.868  48.7  13
1.566  59.0  5
1.436  64.9  12
1.378  68.0  10
1.372  68.4  9

No. 9
The following is a computed powder diffraction line list of PuCuAu. It was derived from a PBE-relaxed structure, using Cu Kα (λ = 1.5418 Å).

Atomic structure:
a = 6.796 Å, b = 4.588 Å, c = 7.836 Å
α = 90.00°, β = 90.00°, γ = 90.00°
Space group Pnma (No. 62)
Unique sites:
Pu  0.002  0.250  0.211 x4
Cu  0.201  0.750  0.416 x4
Au  0.208  0.250  0.587 x4

Peak list (10 most intense, 2θ from 5° to 70°, in order of rising 2θ)
d/Å  two_theta  I_rel
3.421  26.0  19
2.729  32.8  32
2.579  34.8  100
2.567  35.0  41
2.294  39.3  38
2.270  39.7  57
1.711  53.6  28
1.698  54.0  16
1.410  66.3  17
1.373  68.3  18

No. 10
The following is a computed powder diffraction line list of Pu2Cu5Au12. It was derived from a PBE-relaxed structure, using Cu Kα (λ = 1.5418 Å).

Atomic structure:
a = 9.3207 Å, b = 9.3207 Å, c = 14.0381 Å
α = 90.00°, β = 90.00°, γ = 120.00°
Space group R-3m (No. 166, hexagonal axes)
Unique sites:
Pu  0.0000  0.0000  0.1600 x6
Cu  0.0000  0.0000  0.4060 x6
Cu  0.0000  0.5000  0.0000 x9
Au  0.0000  0.3027  0.5000 x18
Au  0.0196  0.5098  0.3468 x18

Peak list (10 most intense, 2θ from 5° to 70°, in order of rising 2θ)
d/Å  two_theta  I_rel
4.663  19.0  11
2.981  30.0  12
2.691  33.3  21
2.648  33.8  25
2.340  38.5  26
2.332  38.6  100
2.086  43.4  29
1.474  63.1  13
1.349  69.7  14
1.345  69.9  12

No. 11
The following is a computed powder diffraction line list of PuCu2Au5. It was derived from a PBE-relaxed structure, using Cu Kα (λ = 1.5418 Å).

Atomic structure:
a = 3.997 Å, b = 7.807 Å, c = 9.716 Å
α = 90.00°, β = 90.00°, γ = 90.00°
Space group Immm (No. 71)
Unique sites:
Pu  0.000  0.000  0.000 x2
Cu  0.000  0.500  0.269 x4
Au  0.000  0.191  0.349 x8
Au  0.000  0.500  0.000 x2

Peak list (10 most intense, 2θ from 5° to 70°, in order of rising 2θ)
d/Å  two_theta  I_rel
3.043  29.4  22
2.684  33.4  79
2.516  35.7  100
2.181  41.4  25
2.062  43.9  34
2.029  44.7  15
1.999  45.4  27
1.542  60.0  10
1.435  65.0  21
1.424  65.6  9

No. 12
The following is a computed powder diffraction line list of RbCuTe2Au. It was derived from a PBE-relaxed structure, using Cu Kα (λ = 1.5418 Å).

Atomic structure:
a = 6.861 Å, b = 12.296 Å, c = 7.741 Å
α = 90.00°, β = 90.00°, γ = 90.00°
Space group Cmme (No. 67)
Unique sites:
Rb  0.000  0.250  0.245 x4
Cu  0.250  0.000  0.000 x4
Te  0.000  0.099  0.801 x8
Au  0.000  0.000  0.500 x4

Peak list (10 most intense, 2θ from 5° to 70°, in order of rising 2θ)
d/Å  two_theta  I_rel
6.148  14.4  79
3.431  26.0  65
3.275  27.2  45
3.203  27.9  100
2.794  32.0  43
2.407  37.4  27
2.195  41.1  38
2.062  43.9  34
1.934  47.0  35
1.715  53.4  34